Calculated powder X-ray diffraction pattern
Compound: V2P3O11
Radiation: Cu Kα, 1.54184 Å
Structure: a crystal structure in Alexandria, relaxed with PBE+U

Peak list (10 most intense, 10 to 90 degrees two-theta, by angle)
2theta	I_rel	h k l
14.80	100	1 1 -1
16.49	36	2 0 0
19.15	78	1 1 1
23.46	39	0 2 1
26.97	17	3 1 0
27.53	42	3 1 -2
29.85	18	2 2 -2
30.22	80	0 2 2
33.76	25	3 1 -3
37.13	19	4 2 -1

```
data_V2P3O11
_chemical_formula_sum 'V8 P12 O44'
_space_group_name_H-M_alt 'C 1 2/c 1'
_space_group_IT_number 15
_cell_length_a 11.7929
_cell_length_b 8.5582
_cell_length_c 8.9746
_cell_angle_alpha 90.00
_cell_angle_beta 114.24
_cell_angle_gamma 90.00
loop_
_space_group_symop_operation_xyz
'x,y,z'
'-x,-y,-z'
'-x,y,-z+1/2'
'x,-y,z+1/2'
'x+1/2,y+1/2,z'
'-x+1/2,-y+1/2,-z'
'-x+1/2,y+1/2,-z+1/2'
'x+1/2,-y+1/2,z+1/2'
loop_
_atom_site_label
_atom_site_type_symbol
_atom_site_fract_x
_atom_site_fract_y
_atom_site_fract_z
V1 V 0.1260 0.2367 0.0401
P1 P 0.0000 0.0399 0.2500
P2 P 0.1079 0.4356 0.7101
O1 O 0.0000 0.4833 0.2500
O2 O 0.0451 0.3232 0.5682
O3 O 0.0766 0.0640 0.8981
O4 O 0.0918 0.1398 0.2106
O5 O 0.1777 0.4326 0.1714
O6 O 0.1911 0.3449 0.8689
```